The following is a calculated powder diffractogram of Cs3PF7. It was derived from a crystal structure in Alexandria, relaxed with GGA-PBE, using copper Kα.
Lines closer than 0.1° are merged.

The 10 most intense peaks (2θ = 10–80°), low angle first:
d 3.832, rel. 21, hkl 2 1 0; d 3.545, rel. 100, hkl 2 0 1; d 3.276, rel. 28, hkl 2 1 1; d 3.156, rel. 28, hkl 0 0 2; d 3.029, rel. 35, hkl 2 2 0; d 2.709, rel. 26, hkl 3 1 0; d 2.436, rel. 33, hkl 2 1 2; d 2.186, rel. 26, hkl 2 2 2; d 2.078, rel. 16, hkl 4 1 0; d 1.974, rel. 16, hkl 4 1 1

Structure:
Cell lengths 8.568, 8.568, 6.313 Å; angles 90.00, 90.00, 90.00 degrees
Fractional positions:
Cs (0.000, 0.000, 0.000)
Cs (0.195, 0.305, 0.500)
Cs (0.305, 0.805, 0.500)
Cs (0.500, 0.500, 0.000)
Cs (0.695, 0.195, 0.500)
Cs (0.805, 0.695, 0.500)
P (0.000, 0.500, 0.000)
P (0.500, 0.000, 0.000)
F (0.000, 0.000, 0.500)
F (0.105, 0.605, 0.205)
F (0.105, 0.605, 0.795)
F (0.150, 0.350, 0.000)
F (0.350, 0.850, 0.000)
F (0.395, 0.105, 0.205)
F (0.395, 0.105, 0.795)
F (0.500, 0.500, 0.500)
F (0.605, 0.895, 0.205)
F (0.605, 0.895, 0.795)
F (0.650, 0.150, 0.000)
F (0.850, 0.650, 0.000)
F (0.895, 0.395, 0.205)
F (0.895, 0.395, 0.795)

---

The following is a calculated powder diffractogram of Ti2Al4V. It was derived from a crystal structure in Alexandria, relaxed with GGA-PBE, using copper Kα.
Lines closer than 0.1° are merged.

The 10 most intense peaks (2θ = 10–80°), low angle first:
d 4.798, rel. 19, hkl 0 1 -1; d 2.888, rel. 28, hkl 1 1 -1; d 2.715, rel. 61, hkl 2 -1 0; d 2.410, rel. 86, hkl 1 1 -3; d 2.338, rel. 100, hkl -1 2 1; d 2.277, rel. 88, hkl 1 -2 3; d 2.204, rel. 53, hkl 2 0 1; d 2.187, rel. 86, hkl 0 0 4; d 2.067, rel. 45, hkl 0 2 1; d 1.879, rel. 22, hkl 1 2 -2

Structure:
Cell lengths 5.444, 5.449, 9.295 Å; angles 106.14, 92.89, 115.95 degrees
Fractional positions:
Ti (0.119, 0.279, 0.006)
Ti (0.273, 0.613, 0.493)
Ti (0.727, 0.387, 0.507)
Ti (0.881, 0.721, 0.994)
Al (0.101, 0.409, 0.753)
Al (0.118, 0.867, 0.750)
Al (0.344, 0.153, 0.253)
Al (0.464, 0.715, 0.249)
Al (0.536, 0.285, 0.751)
Al (0.656, 0.847, 0.747)
Al (0.882, 0.133, 0.250)
Al (0.899, 0.591, 0.247)
V (0.000, 0.000, 0.500)
V (0.500, 0.000, 0.000)

---

The following is a calculated powder diffractogram of Tb5Dy5Ho. It was derived from a crystal structure in Alexandria, relaxed with GGA-PBE, using copper Kα.
Lines closer than 0.1° are merged.

The 10 most intense peaks (2θ = 10–80°), low angle first:
d 3.529, rel. 19, hkl 1 -1 1; d 2.827, rel. 22, hkl 1 1 -2; d 2.794, rel. 78, hkl 2 2 1; d 2.770, rel. 100, hkl 2 0 -1; d 2.751, rel. 100, hkl 0 2 2; d 2.709, rel. 33, hkl 0 0 3; d 1.959, rel. 28, hkl 2 -2 0; d 1.612, rel. 18, hkl 4 2 0; d 1.604, rel. 19, hkl 4 0 1; d 1.601, rel. 19, hkl 4 2 3

Structure:
Cell lengths 6.824, 6.826, 8.559 Å; angles 75.07, 75.19, 70.06 degrees
Fractional positions:
Tb (0.000, 0.000, 0.000)
Tb (0.147, 0.646, 0.364)
Tb (0.352, 0.270, 0.729)
Tb (0.648, 0.730, 0.271)
Tb (0.853, 0.354, 0.636)
Dy (0.223, 0.150, 0.275)
Dy (0.320, 0.812, 0.636)
Dy (0.500, 0.500, 0.000)
Dy (0.680, 0.188, 0.364)
Dy (0.777, 0.850, 0.725)
Ho (0.000, 0.500, 0.000)